Calculated powder diffraction line list
Compound: InW3S5
Radiation: copper Kα
Structure: DFT lattice parameters and positions (PBE)

```
data_InW3S5
_symmetry_space_group_name_H-M 'P 1'
_symmetry_Int_Tables_number 1
_cell_length_a 5.591
_cell_length_b 5.591
_cell_length_c 7.132
_cell_angle_alpha 90.00
_cell_angle_beta 90.00
_cell_angle_gamma 120.00
loop_
_symmetry_equiv_pos_as_xyz
'x,y,z'
loop_
_atom_site_label
_atom_site_type_symbol
_atom_site_fract_x
_atom_site_fract_y
_atom_site_fract_z
In1 In 0.000 0.000 0.000
W1 W 0.000 0.500 0.500
W2 W 0.500 0.000 0.500
W3 W 0.500 0.500 0.500
S1 S 0.000 0.000 0.500
S2 S 0.333 0.667 0.240
S3 S 0.333 0.667 0.760
S4 S 0.667 0.333 0.240
S5 S 0.667 0.333 0.760
```

Largest 8 diffraction maxima, in order of falling intensity, 10 to 90 degrees two-theta:
2theta  I_rel  h k l
12.41  100  0 0 1
45.27  70  2 0 2
22.19  53  1 0 1
37.14  42  2 0 0
39.30  39  2 0 1
24.97  31  0 0 2
34.46  19  1 1 1
64.95  17  2 0 4